# PrTaOs2Ru
Computed PXRD pattern, Cu Ka. Input: a PBE-relaxed structure.
No peak broadening, texture or thermal motion is included.

Crystal structure
a b c (Å): 4.2741 4.2741 10.8949
angles (deg): 90.00 90.00 90.00
Element x y z (fractional)
Pr 0.0000 0.0000 0.0000
Pr 0.5000 0.5000 0.5000
Ta 0.0000 0.5000 0.2500
Ta 0.5000 0.0000 0.7500
Os 0.0000 0.0000 0.3846
Os 0.0000 0.0000 0.6154
Os 0.5000 0.5000 0.1154
Os 0.5000 0.5000 0.8846
Ru 0.0000 0.5000 0.7500
Ru 0.5000 0.0000 0.2500

Top 12 peaks for 2θ from 5° to 70°, sorted by position:
2theta  I (rel.)
22.34  30.8
29.56  17.5
32.35  67.3
33.92  100.0
42.29  78.8
44.79  53.2
46.80  42.6
48.34  8.5
54.23  31.6
61.35  26.4
64.89  32.3
68.95  8.3



# Pr3Si8Os3
Computed PXRD pattern, Cu Ka. Input: a PBE-relaxed structure.
No peak broadening, texture or thermal motion is included.

Crystal structure
a b c (Å): 8.0159 8.0159 8.0159
angles (deg): 149.79 102.91 84.98
Element x y z (fractional)
Pr 0.0000 0.0000 0.0000
Pr 0.3108 0.3108 0.0000
Pr 0.6892 0.6892 0.0000
Si 0.0260 0.6655 0.3605
Si 0.1712 0.8808 0.2904
Si 0.3051 0.6655 0.6395
Si 0.4097 0.1192 0.2904
Si 0.5903 0.8808 0.7096
Si 0.6949 0.3345 0.3605
Si 0.8288 0.1192 0.7096
Si 0.9740 0.3345 0.6395
Os 0.2794 0.5000 0.7794
Os 0.5000 0.0000 0.5000
Os 0.7206 0.5000 0.2206

Top 12 peaks for 2θ from 5° to 70°, sorted by position:
2theta  I (rel.)
11.60  30.7
14.99  43.1
28.87  48.2
35.96  18.8
36.13  100.0
37.75  22.2
39.16  13.1
43.32  23.2
46.07  26.0
59.79  13.3
62.13  12.9
65.08  14.8



# Tb3Pr2Os2
Computed PXRD pattern, Cu Ka. Input: a PBE-relaxed structure.
No peak broadening, texture or thermal motion is included.

Crystal structure
a b c (Å): 12.1972 3.9805 8.7284
angles (deg): 90.00 114.79 90.00
Element x y z (fractional)
Tb 0.0000 0.0000 0.0000
Tb 0.1253 0.0000 0.4255
Tb 0.3747 0.5000 0.5745
Tb 0.5000 0.5000 0.0000
Tb 0.6253 0.5000 0.4255
Tb 0.8747 0.0000 0.5745
Pr 0.1625 0.5000 0.8026
Pr 0.3375 0.0000 0.1974
Pr 0.6625 0.0000 0.8026
Pr 0.8375 0.5000 0.1974
Os 0.1756 0.5000 0.2257
Os 0.3244 0.0000 0.7743
Os 0.6756 0.0000 0.2257
Os 0.8244 0.5000 0.7743

Top 12 peaks for 2θ from 5° to 70°, sorted by position:
2theta  I (rel.)
15.20  47.1
30.43  43.8
30.79  33.1
31.47  100.0
32.85  58.7
33.10  63.1
33.89  91.6
35.23  76.2
35.82  26.0
38.83  59.7
45.58  52.7
57.32  24.1



# PrTcOs
Computed PXRD pattern, Cu Ka. Input: a PBE-relaxed structure.
No peak broadening, texture or thermal motion is included.

Crystal structure
a b c (Å): 9.0272 5.4987 5.4987
angles (deg): 58.64 90.00 90.00
Element x y z (fractional)
Pr 0.1827 0.0000 0.0000
Pr 0.3148 0.6675 0.6675
Pr 0.6852 0.6675 0.6675
Pr 0.8173 0.0000 0.0000
Tc 0.2428 0.3368 0.3368
Tc 0.5000 0.1699 0.6581
Tc 0.5000 0.6581 0.1699
Tc 0.7572 0.3368 0.3368
Os 0.0000 0.5019 0.5019
Os 0.0000 0.5037 0.9885
Os 0.0000 0.9885 0.5037
Os 0.5000 0.1525 0.1525

Top 12 peaks for 2θ from 5° to 70°, sorted by position:
2theta  I (rel.)
9.80  17.8
35.21  26.4
35.43  73.9
38.34  100.0
38.90  75.6
39.67  84.5
39.95  24.7
43.45  18.5
62.85  19.8
64.63  16.0
65.18  31.1
68.25  24.0



# PrTh2Os9
Computed PXRD pattern, Cu Ka. Input: a PBE-relaxed structure.
No peak broadening, texture or thermal motion is included.

Crystal structure
a b c (Å): 5.3693 5.3693 9.3316
angles (deg): 106.74 106.74 61.96
Element x y z (fractional)
Pr 0.0000 0.0000 0.0000
Th 0.1374 0.1374 0.4187
Th 0.8626 0.8626 0.5813
Os 0.0813 0.5737 0.2337
Os 0.3632 0.3632 0.0054
Os 0.4043 0.4043 0.7396
Os 0.4263 0.9187 0.7663
Os 0.5000 0.5000 0.5000
Os 0.5737 0.0813 0.2337
Os 0.5957 0.5957 0.2604
Os 0.6368 0.6368 0.9946
Os 0.9187 0.4263 0.7663

Top 12 peaks for 2θ from 5° to 70°, sorted by position:
2theta  I (rel.)
19.04  31.2
33.40  42.3
33.56  46.4
38.12  74.9
38.48  91.1
39.22  100.0
39.46  74.9
41.08  53.8
41.86  59.1
42.18  46.5
42.73  46.4
45.11  31.0



# Os4Pt3
Computed PXRD pattern, Cu Ka. Input: a PBE-relaxed structure.
No peak broadening, texture or thermal motion is included.

Crystal structure
a b c (Å): 3.3334 3.3334 19.2813
angles (deg): 90.00 90.00 90.00
Element x y z (fractional)
Os 0.0000 0.0000 0.0735
Os 0.0000 0.0000 0.3617
Os 0.0000 0.0000 0.6383
Os 0.0000 0.0000 0.9265
Os 0.5000 0.5000 0.1383
Os 0.5000 0.5000 0.4265
Os 0.5000 0.5000 0.5735
Os 0.5000 0.5000 0.8617
Pt 0.0000 0.0000 0.2134
Pt 0.0000 0.0000 0.5000
Pt 0.0000 0.0000 0.7866
Pt 0.5000 0.5000 0.0000
Pt 0.5000 0.5000 0.2866
Pt 0.5000 0.5000 0.7134

Top 4 peaks for 2θ from 5° to 70°, sorted by position:
2theta  I (rel.)
38.18  68.5
42.58  100.0
55.10  24.1
68.08  6.1



# Os4Pt
Computed PXRD pattern, Cu Ka. Input: a PBE-relaxed structure.
No peak broadening, texture or thermal motion is included.

Crystal structure
a b c (Å): 3.7496 3.7496 11.7393
angles (deg): 90.00 90.00 90.00
Element x y z (fractional)
Os 0.0000 0.0000 0.1026
Os 0.0000 0.0000 0.8974
Os 0.0000 0.5000 0.2500
Os 0.0000 0.5000 0.7500
Os 0.5000 0.0000 0.2500
Os 0.5000 0.0000 0.7500
Os 0.5000 0.5000 0.3974
Os 0.5000 0.5000 0.6026
Pt 0.0000 0.0000 0.5000
Pt 0.5000 0.5000 0.0000

Top 12 peaks for 2θ from 5° to 70°, sorted by position:
2theta  I (rel.)
24.93  7.1
30.46  5.9
33.09  32.3
37.21  100.0
45.59  40.5
46.14  30.4
46.41  6.4
48.56  46.7
60.02  12.0
63.39  6.4
68.80  24.1
69.43  7.8



# OsPt3
Computed PXRD pattern, Cu Ka. Input: a PBE-relaxed structure.
No peak broadening, texture or thermal motion is included.

Crystal structure
a b c (Å): 2.7671 9.1657 4.8416
angles (deg): 90.00 90.00 90.00
Element x y z (fractional)
Os 0.0000 0.0000 0.0000
Os 0.5000 0.5000 0.5000
Pt 0.0000 0.2588 0.6732
Pt 0.0000 0.5000 0.0143
Pt 0.0000 0.7412 0.6732
Pt 0.5000 0.0000 0.5143
Pt 0.5000 0.2412 0.1732
Pt 0.5000 0.7588 0.1732

Top 10 peaks for 2θ from 5° to 70°, sorted by position:
2theta  I (rel.)
34.72  1.3
37.14  12.3
37.43  23.5
39.32  40.5
42.22  50.3
42.49  100.0
55.19  7.8
55.41  15.0
67.15  17.4
67.73  8.6



# Os2Pt3
Computed PXRD pattern, Cu Ka. Input: a PBE-relaxed structure.
No peak broadening, texture or thermal motion is included.

Crystal structure
a b c (Å): 3.7324 3.7324 21.9719
angles (deg): 90.00 90.00 120.00
Element x y z (fractional)
Os 0.0000 0.0000 0.1002
Os 0.0000 0.0000 0.8998
Os 0.3333 0.6667 0.5665
Os 0.3333 0.6667 0.7669
Os 0.6667 0.3333 0.2331
Os 0.6667 0.3333 0.4335
Pt 0.0000 0.0000 0.2935
Pt 0.0000 0.0000 0.5000
Pt 0.0000 0.0000 0.7065
Pt 0.3333 0.6667 0.1667
Pt 0.3333 0.6667 0.3732
Pt 0.3333 0.6667 0.9602
Pt 0.6667 0.3333 0.0398
Pt 0.6667 0.3333 0.6268
Pt 0.6667 0.3333 0.8333

Top 12 peaks for 2θ from 5° to 70°, sorted by position:
2theta  I (rel.)
24.31  0.6
32.13  0.6
34.44  100.0
36.82  0.5
48.80  38.7
50.21  33.3
53.96  0.8
61.09  19.6
61.96  0.5
62.66  0.7
63.51  5.1
66.19  0.6



# Os5Pt
Computed PXRD pattern, Cu Ka. Input: a PBE-relaxed structure.
No peak broadening, texture or thermal motion is included.

Crystal structure
a b c (Å): 9.9972 2.7644 6.4808
angles (deg): 90.00 103.87 90.00
Element x y z (fractional)
Os 0.0000 0.0000 0.0000
Os 0.0548 0.0000 0.6194
Os 0.1594 0.5000 0.3394
Os 0.2165 0.5000 0.9407
Os 0.3301 0.0000 0.6713
Os 0.5000 0.5000 0.0000
Os 0.5548 0.5000 0.6194
Os 0.6594 0.0000 0.3394
Os 0.7165 0.0000 0.9407
Os 0.8301 0.5000 0.6713
Pt 0.3844 0.0000 0.2798
Pt 0.8844 0.5000 0.2798

Top 6 peaks for 2θ from 5° to 70°, sorted by position:
2theta  I (rel.)
37.60  24.3
41.18  25.1
43.07  100.0
56.96  12.1
57.06  2.6
67.85  17.5



# Os3Pt5
Computed PXRD pattern, Cu Ka. Input: a PBE-relaxed structure.
No peak broadening, texture or thermal motion is included.

Crystal structure
a b c (Å): 7.5056 7.5056 7.4358
angles (deg): 96.62 96.62 140.37
Element x y z (fractional)
Os 0.1657 0.8343 0.0000
Os 0.2622 0.7378 0.5000
Os 0.4451 0.4451 0.6566
Os 0.5549 0.5549 0.3434
Os 0.7378 0.2622 0.5000
Os 0.8343 0.1657 0.0000
Pt 0.0197 0.2184 0.3596
Pt 0.2184 0.0197 0.3596
Pt 0.2316 0.5734 0.8085
Pt 0.2329 0.2329 0.9668
Pt 0.4266 0.7684 0.1915
Pt 0.5734 0.2316 0.8085
Pt 0.7671 0.7671 0.0332
Pt 0.7684 0.4266 0.1915
Pt 0.7816 0.9803 0.6404
Pt 0.9803 0.7816 0.6404

Top 12 peaks for 2θ from 5° to 70°, sorted by position:
2theta  I (rel.)
35.28  15.2
36.16  15.4
36.96  41.9
37.21  42.0
37.60  19.7
39.82  76.5
40.43  53.0
40.76  45.3
41.36  70.2
41.56  100.0
43.90  79.8
67.45  15.8



# OsPt3
Computed PXRD pattern, Cu Ka. Input: a PBE-relaxed structure.
No peak broadening, texture or thermal motion is included.

Crystal structure
a b c (Å): 2.7605 2.7605 16.0847
angles (deg): 90.00 90.00 90.00
Element x y z (fractional)
Os 0.2500 0.2500 0.0553
Os 0.7500 0.7500 0.9447
Pt 0.2500 0.2500 0.3091
Pt 0.2500 0.2500 0.5632
Pt 0.2500 0.2500 0.8201
Pt 0.7500 0.7500 0.1799
Pt 0.7500 0.7500 0.4368
Pt 0.7500 0.7500 0.6909

Top 9 peaks for 2θ from 5° to 70°, sorted by position:
2theta  I (rel.)
36.61  0.6
39.21  0.7
39.60  100.0
43.18  0.6
45.09  16.4
46.53  32.4
62.43  0.7
66.80  20.7
67.91  10.6



# ReOsPt2
Computed PXRD pattern, Cu Ka. Input: a PBE-relaxed structure.
No peak broadening, texture or thermal motion is included.

Crystal structure
a b c (Å): 9.2302 2.7384 4.8226
angles (deg): 90.00 99.60 90.00
Element x y z (fractional)
Re 0.0000 0.0000 0.0000
Re 0.5000 0.5000 0.0000
Os 0.2558 0.0000 0.7745
Os 0.7558 0.5000 0.7745
Pt 0.0062 0.5000 0.5133
Pt 0.2495 0.5000 0.2602
Pt 0.5062 0.0000 0.5133
Pt 0.7495 0.0000 0.2602

Top 9 peaks for 2θ from 5° to 70°, sorted by position:
2theta  I (rel.)
29.34  0.6
39.61  51.5
39.74  51.0
40.06  100.0
45.92  33.6
46.59  65.6
67.43  32.6
67.57  21.4
68.53  10.5



# OsPt2Rh6
Computed PXRD pattern, Cu Ka. Input: a PBE-relaxed structure.
No peak broadening, texture or thermal motion is included.

Crystal structure
a b c (Å): 5.4634 7.2423 7.2514
angles (deg): 85.85 79.15 67.85
Element x y z (fractional)
Os 0.0253 0.3347 0.2232
Os 0.9747 0.6653 0.7768
Pt 0.4155 0.9982 0.3311
Pt 0.4734 0.6638 0.7779
Pt 0.5266 0.3362 0.2221
Pt 0.5845 0.0018 0.6689
Rh 0.0803 0.9979 0.6712
Rh 0.1342 0.6654 0.1123
Rh 0.1871 0.3411 0.5571
Rh 0.2433 0.0087 0.0035
Rh 0.2982 0.6708 0.4501
Rh 0.3507 0.3382 0.8930
Rh 0.6493 0.6618 0.1070
Rh 0.7018 0.3292 0.5499
Rh 0.7567 0.9913 0.9965
Rh 0.8129 0.6589 0.4429
Rh 0.8658 0.3346 0.8877
Rh 0.9197 0.0021 0.3288

Top 12 peaks for 2θ from 5° to 70°, sorted by position:
2theta  I (rel.)
18.16  11.4
25.01  4.8
29.45  3.8
36.05  3.8
40.31  100.0
40.41  99.7
43.19  2.4
46.93  32.4
46.96  64.5
68.50  30.9
68.60  20.6
68.72  10.3